# 1
For Y2PdO4, DFT lattice parameters and positions (PBE) gives the theoretical powder diffraction line list in this record (a wavelength of 1.5418 Å).
Neutral-atom scattering factors, no anomalous dispersion.

Most intense lines, 2θ from 10° to 80°, by angle:
- 26.14 deg, rel. 17, (2 0 0)
- 26.33 deg, rel. 34, (1 1 2)
- 30.80 deg, rel. 100, (2 1 1)
- 31.12 deg, rel. 50, (1 0 3)
- 32.32 deg, rel. 22, (2 0 2)
- 46.24 deg, rel. 14, (3 1 2)
- 49.13 deg, rel. 33, (3 2 1)
- 49.79 deg, rel. 15, (1 0 5)
- 53.79 deg, rel. 22, (4 0 0)
- 54.20 deg, rel. 43, (2 2 4)

Structural model:
```
data_Y2PdO4
_chemical_formula_sum 'Y8 Pd4 O16'
_cell_length_a 6.817
_cell_length_b 6.817
_cell_length_c 9.507
_cell_angle_alpha 90.00
_cell_angle_beta 90.00
_cell_angle_gamma 90.00
_symmetry_space_group_name_H-M 'I 41/a m d'
_symmetry_Int_Tables_number 141
loop_
_symmetry_equiv_pos_as_xyz
'x,y,z'
'-x,-y,-z'
'-y+1/4,x+3/4,z+1/4'
'y+1/4,-x+3/4,-z+1/4'
'-x+1/2,-y,z+1/2'
'x+1/2,y,-z+1/2'
'y+1/4,-x+1/4,z+3/4'
'-y+1/4,x+1/4,-z+3/4'
'x,-y,-z'
'-x,y,z'
'-y+1/4,-x+1/4,-z+3/4'
'y+1/4,x+1/4,z+3/4'
'-x+1/2,y,-z+1/2'
'x+1/2,-y,z+1/2'
'y+1/4,x+3/4,-z+1/4'
'-y+1/4,-x+3/4,z+1/4'
'x+1/2,y+1/2,z+1/2'
'-x+1/2,-y+1/2,-z+1/2'
'-y+3/4,x+1/4,z+3/4'
'y+3/4,-x+1/4,-z+3/4'
'-x,-y+1/2,z'
'x,y+1/2,-z'
'y+3/4,-x+3/4,z+1/4'
'-y+3/4,x+3/4,-z+1/4'
'x+1/2,-y+1/2,-z+1/2'
'-x+1/2,y+1/2,z+1/2'
'-y+3/4,-x+3/4,-z+1/4'
'y+3/4,x+3/4,z+1/4'
'-x,y+1/2,-z'
'x,-y+1/2,z'
'y+3/4,x+1/4,-z+3/4'
'-y+3/4,-x+1/4,z+3/4'
loop_
_atom_site_label
_atom_site_type_symbol
_atom_site_fract_x
_atom_site_fract_y
_atom_site_fract_z
Y1 Y 0.000 0.000 0.000
Pd1 Pd 0.000 0.250 0.375
O1 O 0.000 0.025 0.759
```

# 2
For V5SiB2, DFT lattice parameters and positions (PBE) gives the theoretical powder diffraction line list in this record (a wavelength of 1.5418 Å).
Neutral-atom scattering factors, no anomalous dispersion.

Most intense lines, 2θ from 10° to 80°, by angle:
- 35.73 deg, rel. 72, (2 1 1)
- 40.11 deg, rel. 45, (1 1 4)
- 43.13 deg, rel. 100, (2 1 3)
- 44.34 deg, rel. 23, (2 2 0)
- 46.08 deg, rel. 74, (2 0 4)
- 49.90 deg, rel. 56, (3 1 0)
- 67.38 deg, rel. 14, (4 1 1)
- 71.35 deg, rel. 20, (2 1 7)
- 72.38 deg, rel. 17, (4 1 3)
- 78.73 deg, rel. 28, (3 3 4)

Structural model:
```
data_V5SiB2
_chemical_formula_sum 'V20 Si4 B8'
_cell_length_a 5.779
_cell_length_b 5.779
_cell_length_c 10.770
_cell_angle_alpha 90.00
_cell_angle_beta 90.00
_cell_angle_gamma 90.00
_symmetry_space_group_name_H-M 'I 4/m c m'
_symmetry_Int_Tables_number 140
_symmetry_space_group_name_Hall '-I 4 2c'
loop_
_atom_site_label
_atom_site_type_symbol
_atom_site_fract_x
_atom_site_fract_y
_atom_site_fract_z
V1 V 0.000 0.000 0.000
V2 V 0.170 0.330 0.137
Si1 Si 0.000 0.000 0.250
B1 B 0.115 0.385 0.500
```

# 3
For Li2ZrAl, DFT lattice parameters and positions (PBE) gives the theoretical powder diffraction line list in this record (a wavelength of 1.5418 Å).
Neutral-atom scattering factors, no anomalous dispersion.

Most intense lines, 2θ from 10° to 80°, by angle:
- 23.44 deg, rel. 100, (1 1 1)
- 27.13 deg, rel. 27, (2 0 0)
- 38.75 deg, rel. 81, (2 2 0)
- 45.79 deg, rel. 48, (3 1 1)
- 47.95 deg, rel. 7, (2 2 2)
- 55.96 deg, rel. 13, (4 0 0)
- 61.50 deg, rel. 19, (3 3 1)
- 63.27 deg, rel. 9, (4 2 0)
- 70.14 deg, rel. 27, (4 2 2)
- 75.10 deg, rel. 14, (5 1 1)

Structural model:
```
data_Li2ZrAl
_chemical_formula_sum 'Li8 Zr4 Al4'
_cell_length_a 6.573
_cell_length_b 6.573
_cell_length_c 6.573
_cell_angle_alpha 90.00
_cell_angle_beta 90.00
_cell_angle_gamma 90.00
_symmetry_space_group_name_H-M 'F -4 3 m'
_symmetry_Int_Tables_number 216
_symmetry_space_group_name_Hall 'F -4 2 3'
loop_
_atom_site_label
_atom_site_type_symbol
_atom_site_fract_x
_atom_site_fract_y
_atom_site_fract_z
Li1 Li 0.000 0.000 0.000
Li2 Li 0.250 0.250 0.250
Zr1 Zr 0.000 0.000 0.500
Al1 Al 0.250 0.250 0.750
```

# 4
For La2Si5Rh3, DFT lattice parameters and positions (PBE) gives the theoretical powder diffraction line list in this record (a wavelength of 1.5418 Å).
Neutral-atom scattering factors, no anomalous dispersion.

Most intense lines, 2θ from 10° to 80°, by angle:
- 24.07 deg, rel. 23, (1 3 0)
- 29.95 deg, rel. 20, (0 4 0)
- 30.18 deg, rel. 20, (0 0 2)
- 32.40 deg, rel. 19, (1 1 2)
- 34.27 deg, rel. 100, (3 2 1)
- 35.00 deg, rel. 41, (2 4 0)
- 35.19 deg, rel. 42, (2 0 2)
- 43.04 deg, rel. 61, (0 4 2)
- 55.99 deg, rel. 21, (3 6 1)
- 56.27 deg, rel. 24, (3 2 3)

Structural model:
```
data_La2Si5Rh3
_chemical_formula_sum 'La8 Si20 Rh12'
_cell_length_a 10.028
_cell_length_b 11.934
_cell_length_c 5.923
_cell_angle_alpha 90.00
_cell_angle_beta 90.00
_cell_angle_gamma 90.00
_symmetry_space_group_name_H-M 'I b a m'
_symmetry_Int_Tables_number 72
_symmetry_space_group_name_Hall '-I 2 2c'
loop_
_atom_site_label
_atom_site_type_symbol
_atom_site_fract_x
_atom_site_fract_y
_atom_site_fract_z
La1 La 0.233 0.131 0.000
Si1 Si 0.000 0.000 0.250
Si2 Si 0.000 0.275 0.250
Si3 Si 0.151 0.392 0.000
Rh1 Rh 0.000 0.500 0.250
Rh2 Rh 0.109 0.139 0.500
```

# 5
For Li2BiBO5, DFT lattice parameters and positions (PBE) gives the theoretical powder diffraction line list in this record (a wavelength of 1.5418 Å).
Neutral-atom scattering factors, no anomalous dispersion.

Most intense lines, 2θ from 10° to 80°, by angle:
- 18.69 deg, rel. 73, (0 0 1)
- 19.94 deg, rel. 100, (1 1 0)
- 27.46 deg, rel. 77, (1 1 1)
- 28.34 deg, rel. 71, (2 0 0)
- 34.17 deg, rel. 68, (2 0 1)
- 40.62 deg, rel. 21, (1 0 2)
- 43.19 deg, rel. 29, (1 1 2)
- 44.97 deg, rel. 22, (2 2 1)
- 45.55 deg, rel. 39, (3 1 0)
- 49.64 deg, rel. 39, (3 1 1)

Structural model:
```
data_Li2BiBO5
_chemical_formula_sum 'Li4 Bi2 B2 O10'
_cell_length_a 6.298
_cell_length_b 6.298
_cell_length_c 4.747
_cell_angle_alpha 90.00
_cell_angle_beta 90.00
_cell_angle_gamma 90.00
_symmetry_space_group_name_H-M 'P 4/n m m'
_symmetry_Int_Tables_number 129
loop_
_symmetry_equiv_pos_as_xyz
'x,y,z'
'-x,-y,-z'
'-y+1/2,x,z'
'y+1/2,-x,-z'
'-x+1/2,-y+1/2,z'
'x+1/2,y+1/2,-z'
'y,-x+1/2,z'
'-y,x+1/2,-z'
'x+1/2,-y,-z'
'-x+1/2,y,z'
'-y,-x,-z'
'y,x,z'
'-x,y+1/2,-z'
'x,-y+1/2,z'
'y+1/2,x+1/2,-z'
'-y+1/2,-x+1/2,z'
loop_
_atom_site_label
_atom_site_type_symbol
_atom_site_fract_x
_atom_site_fract_y
_atom_site_fract_z
Li1 Li 0.000 0.000 0.000
Bi1 Bi 0.250 0.250 0.452
B1 B 0.250 0.750 0.500
O1 O 0.069 0.750 0.701
O2 O 0.250 0.250 0.881
```